Structure and simulated XRD peak list of Mo2P2O11 (a structure optimized by DFT (PBE+U); Cu Kα (λ = 1.5418 Å)).

Crystal structure
```
data_Mo2P2O11
_space_group_name_H-M_alt 'P 1 m 1'
_space_group_IT_number 6
_space_group_name_Hall 'P -2y'
_cell_length_a 3.8893
_cell_length_b 6.5368
_cell_length_c 8.8058
_cell_angle_alpha 90.00
_cell_angle_beta 102.30
_cell_angle_gamma 90.00
loop_
_atom_site_label
_atom_site_fract_x
_atom_site_fract_y
_atom_site_fract_z
Mo1 0.0000 0.0000 0.0000
Mo2 0.3076 0.5000 0.5534
P1 0.2557 0.0000 0.4482
P2 0.9793 0.5000 0.1305
O1 0.0426 0.2996 0.0375
O2 0.1686 0.0000 0.2784
O3 0.1797 0.5000 0.3031
O4 0.3052 0.1858 0.5466
O5 0.3974 0.5000 0.7512
O6 0.5471 0.0000 0.0364
O7 0.5942 0.5000 0.1332
O8 0.7908 0.5000 0.5276
O9 0.9227 0.0000 0.8023
```

Top 10 peaks for 2θ = 10–80°, by angle:
h k l, 2theta, I (rel.)
0 1 1, 17.04, 87
0 0 2, 20.65, 87
1 0 -1, 23.46, 100
0 1 2, 24.78, 34
1 1 -1, 27.18, 43
0 2 0, 27.29, 73
1 0 1, 27.61, 27
1 2 -1, 36.29, 24
2 0 -1, 46.72, 29
1 1 4, 55.17, 26